Structure and simulated powder XRD pattern of Nb2Sn2OsPt (a GGA-PBE-relaxed structure; a wavelength of 1.5418 Å).
No peak broadening, texture or thermal motion is included.

Largest 8 diffraction maxima, in order of rising 2θ, 10° ≤ 2θ ≤ 80°:
2theta	I_rel
24.68	54.5
40.85	100.0
48.26	18.5
48.40	9.2
59.06	11.3
65.11	7.7
74.32	23.2
74.48	11.6

Cell and atoms:
a b c (Å): 7.6432 7.6432 7.6432
angles (deg): 131.68 131.68 70.73
Fractional coordinates of all 12 atoms:
Nb1 0.1159 0.1250 0.4909
Nb2 0.3750 0.8841 0.0091
Nb3 0.6341 0.6250 0.5091
Nb4 0.8750 0.3659 0.9909
Sn1 0.1240 0.6250 0.9990
Sn2 0.3750 0.3740 0.4990
Sn3 0.6260 0.1250 0.0010
Sn4 0.8750 0.8760 0.5010
Os1 0.0000 0.0000 0.0000
Os2 0.7500 0.2500 0.5000
Pt1 0.2500 0.7500 0.5000
Pt2 0.5000 0.5000 0.0000

---

Structure and simulated powder XRD pattern of Nb2Sn2Os3 (a GGA-PBE-relaxed structure; a wavelength of 1.5418 Å).
No peak broadening, texture or thermal motion is included.

Largest 8 diffraction maxima, in order of rising 2θ, 10° ≤ 2θ ≤ 80°:
2theta	I_rel
12.17	17.0
24.32	13.0
40.20	100.0
40.42	94.9
58.32	32.7
73.05	17.6
73.20	33.7
73.65	14.8

Cell and atoms:
a b c (Å): 7.7175 7.7175 7.7175
angles (deg): 33.80 33.80 33.80
Fractional coordinates of all 7 atoms:
Nb1 0.0000 0.0000 0.0000
Nb2 0.4923 0.4923 0.4923
Sn1 0.2382 0.2382 0.2382
Sn2 0.7509 0.7509 0.7509
Os1 0.3696 0.3696 0.3696
Os2 0.6209 0.6209 0.6209
Os3 0.8734 0.8734 0.8734

---

Structure and simulated powder XRD pattern of Ta2NbOs (a GGA-PBE-relaxed structure; a wavelength of 1.5418 Å).
No peak broadening, texture or thermal motion is included.

Largest 8 diffraction maxima, in order of rising 2θ, 10° ≤ 2θ ≤ 80°:
2theta	I_rel
34.61	26.7
34.97	32.6
38.90	98.7
39.18	36.0
42.81	100.0
43.04	28.9
67.68	25.8
68.13	25.6

Cell and atoms:
a b c (Å): 5.1835 5.1835 5.1310
angles (deg): 90.00 90.00 90.00
Fractional coordinates of all 8 atoms:
Ta1 0.0000 0.2495 0.0000
Ta2 0.0000 0.7505 0.0000
Ta3 0.2495 0.0000 0.5000
Ta4 0.7505 0.0000 0.5000
Nb1 0.5000 0.5000 0.2500
Nb2 0.5000 0.5000 0.7500
Os1 0.0000 0.5000 0.5000
Os2 0.5000 0.0000 0.0000

---

Structure and simulated powder XRD pattern of Ta2NbOs2 (a GGA-PBE-relaxed structure; a wavelength of 1.5418 Å).
No peak broadening, texture or thermal motion is included.

Largest 8 diffraction maxima, in order of rising 2θ, 10° ≤ 2θ ≤ 80°:
2theta	I_rel
16.58	24.3
22.59	37.8
32.85	39.1
34.34	100.0
42.73	73.2
45.49	69.4
47.64	29.6
62.02	24.5

Cell and atoms:
a b c (Å): 4.2322 4.2322 10.6947
angles (deg): 90.00 90.00 90.00
Fractional coordinates of all 10 atoms:
Ta1 0.0000 0.5000 0.2500
Ta2 0.0000 0.5000 0.7500
Ta3 0.5000 0.0000 0.2500
Ta4 0.5000 0.0000 0.7500
Nb1 0.0000 0.0000 0.0000
Nb2 0.5000 0.5000 0.5000
Os1 0.0000 0.0000 0.3863
Os2 0.0000 0.0000 0.6137
Os3 0.5000 0.5000 0.1137
Os4 0.5000 0.5000 0.8863

---

Structure and simulated powder XRD pattern of Ta2NbOs (a GGA-PBE-relaxed structure; a wavelength of 1.5418 Å).
No peak broadening, texture or thermal motion is included.

Largest 8 diffraction maxima, in order of rising 2θ, 10° ≤ 2θ ≤ 80°:
2theta	I_rel
23.85	4.7
27.60	1.7
39.43	100.0
46.61	2.6
56.99	17.2
62.65	1.1
71.51	35.0
76.60	0.9

Cell and atoms:
a b c (Å): 6.4632 6.4632 6.4632
angles (deg): 90.00 90.00 90.00
Fractional coordinates of all 16 atoms:
Ta1 0.2500 0.2500 0.2500
Ta2 0.2500 0.2500 0.7500
Ta3 0.2500 0.7500 0.2500
Ta4 0.2500 0.7500 0.7500
Ta5 0.7500 0.2500 0.2500
Ta6 0.7500 0.2500 0.7500
Ta7 0.7500 0.7500 0.2500
Ta8 0.7500 0.7500 0.7500
Nb1 0.0000 0.0000 0.0000
Nb2 0.0000 0.5000 0.5000
Nb3 0.5000 0.0000 0.5000
Nb4 0.5000 0.5000 0.0000
Os1 0.0000 0.0000 0.5000
Os2 0.0000 0.5000 0.0000
Os3 0.5000 0.0000 0.0000
Os4 0.5000 0.5000 0.5000

---

Structure and simulated powder XRD pattern of NbTe4Os (a GGA-PBE-relaxed structure; a wavelength of 1.5418 Å).
No peak broadening, texture or thermal motion is included.

Largest 8 diffraction maxima, in order of rising 2θ, 10° ≤ 2θ ≤ 80°:
2theta	I_rel
13.09	100.0
29.23	30.7
30.63	98.0
34.10	84.8
39.66	30.0
43.60	37.2
48.18	28.2
49.28	26.2

Cell and atoms:
a b c (Å): 3.7771 12.5450 13.5310
angles (deg): 90.00 90.00 90.00
Fractional coordinates of all 24 atoms:
Nb1 0.0000 0.0588 0.0000
Nb2 0.0000 0.2757 0.4830
Nb3 0.5000 0.7243 0.9830
Nb4 0.5000 0.9412 0.5000
Te1 0.0000 0.0665 0.3883
Te2 0.0000 0.1968 0.8457
Te3 0.0000 0.3464 0.0862
Te4 0.0000 0.4175 0.6330
Te5 0.0000 0.5648 0.3919
Te6 0.0000 0.6747 0.8398
Te7 0.0000 0.8493 0.0983
Te8 0.0000 0.8913 0.6429
Te9 0.5000 0.1087 0.1429
Te10 0.5000 0.1507 0.5983
Te11 0.5000 0.3253 0.3398
Te12 0.5000 0.4352 0.8919
Te13 0.5000 0.5825 0.1330
Te14 0.5000 0.6536 0.5862
Te15 0.5000 0.8032 0.3457
Te16 0.5000 0.9335 0.8883
Os1 0.0000 0.5437 0.9970
Os2 0.0000 0.7624 0.4822
Os3 0.5000 0.2376 0.9822
Os4 0.5000 0.4563 0.4970

---

Structure and simulated powder XRD pattern of Nb7P4 (a GGA-PBE-relaxed structure; a wavelength of 1.5418 Å).
No peak broadening, texture or thermal motion is included.

Largest 8 diffraction maxima, in order of rising 2θ, 10° ≤ 2θ ≤ 80°:
2theta	I_rel
33.50	51.1
35.05	79.7
36.66	68.7
38.97	81.6
40.14	100.0
40.28	71.4
40.54	70.5
53.06	59.0

Cell and atoms:
a b c (Å): 7.7209 7.7209 13.9341
angles (deg): 104.42 104.42 25.83
Fractional coordinates of all 22 atoms:
Nb1 0.0000 0.0000 0.0000
Nb2 0.0034 0.0034 0.6654
Nb3 0.1750 0.1750 0.5402
Nb4 0.1952 0.1952 0.3122
Nb5 0.2096 0.2096 0.8004
Nb6 0.3378 0.3378 0.0277
Nb7 0.4315 0.4315 0.8272
Nb8 0.5000 0.5000 0.5000
Nb9 0.5685 0.5685 0.1728
Nb10 0.6622 0.6622 0.9723
Nb11 0.7904 0.7904 0.1996
Nb12 0.8048 0.8048 0.6878
Nb13 0.8250 0.8250 0.4598
Nb14 0.9966 0.9966 0.3346
P1 0.0639 0.0639 0.8494
P2 0.1739 0.1739 0.1122
P3 0.3697 0.3697 0.3356
P4 0.3736 0.3736 0.6020
P5 0.6264 0.6264 0.3980
P6 0.6303 0.6303 0.6644
P7 0.8261 0.8261 0.8878
P8 0.9361 0.9361 0.1506

---

Structure and simulated powder XRD pattern of RbNb2PSe10 (a GGA-PBE-relaxed structure; a wavelength of 1.5418 Å).
No peak broadening, texture or thermal motion is included.

Largest 8 diffraction maxima, in order of rising 2θ, 10° ≤ 2θ ≤ 80°:
2theta	I_rel
10.89	79.4
12.07	100.0
16.28	43.1
28.99	31.9
30.82	33.3
33.05	36.2
34.87	32.6
38.17	28.8

Cell and atoms:
a b c (Å): 7.6660 8.1209 13.7108
angles (deg): 90.00 107.02 90.00
Fractional coordinates of all 28 atoms:
Rb1 0.0000 0.0110 0.0000
Rb2 0.0000 0.9890 0.5000
Nb1 0.4449 0.4405 0.2655
Nb2 0.4449 0.5595 0.7655
Nb3 0.4527 0.4411 0.9734
Nb4 0.4527 0.5589 0.4734
P1 0.5865 0.0971 0.1453
P2 0.5865 0.9029 0.6453
Se1 0.1929 0.3663 0.3541
Se2 0.1929 0.6337 0.8541
Se3 0.1948 0.3598 0.8051
Se4 0.1948 0.6402 0.3051
Se5 0.1973 0.4432 0.0788
Se6 0.1973 0.5568 0.5788
Se7 0.3881 0.1094 0.2366
Se8 0.3881 0.8906 0.7366
Se9 0.4065 0.3340 0.6128
Se10 0.4065 0.6660 0.1128
Se11 0.4507 0.0985 0.9766
Se12 0.4507 0.9015 0.4766
Se13 0.6961 0.3526 0.4420
Se14 0.6961 0.6474 0.9420
Se15 0.6996 0.3569 0.1631
Se16 0.6996 0.6431 0.6631
Se17 0.7131 0.3799 0.8807
Se18 0.7131 0.6201 0.3807
Se19 0.7817 0.1026 0.6937
Se20 0.7817 0.8974 0.1937